Computed powder XRD pattern
Compound: TbAlCu
Radiation: a wavelength of 1.5418 Å
Structure: a cell relaxed with GGA-PBE
Intensities are scaled so that the largest is 100.

The 12 most intense peaks (10° ≤ 2θ ≤ 80°), in order of rising 2θ:
Position (°2θ)  I_rel
20.13  44
32.89  40
33.32  73
38.85  100
39.62  48
40.93  15
58.98  28
59.82  14
62.72  24
63.27  12
64.34  11
69.97  21

Structural model:
Unit cell a=5.445 b=5.452 c=7.509 alpha=90.00 beta=90.00 gamma=90.00
Space group Imma (No. 74)
Unique sites:
Tb (0.000, 0.250, 0.126) [4 per cell]
Al (0.250, 0.250, 0.750) [4 per cell]
Cu (0.000, 0.000, 0.500) [4 per cell]